1.
# RbMg6SbO8
Theoretical powder X-ray diffraction pattern, Cu Kα, 1.54184 Å. Input: a crystal structure in Alexandria, relaxed with PBE.
Intensities are scaled so that the largest is 100.

Main lines, in order of rising 2θ (10° ≤ 2θ ≤ 90°):
(0 0 2), d = 4.519 Å, 19.6°, intensity 32
(1 1 0), d = 3.285 Å, 27.1°, intensity 26
(1 1 1), d = 3.087 Å, 28.9°, intensity 46
(0 0 3), d = 3.013 Å, 29.7°, intensity 22
(1 1 2), d = 2.657 Å, 33.7°, intensity 63
(2 0 0), d = 2.323 Å, 38.8°, intensity 100
(0 0 4), d = 2.260 Å, 39.9°, intensity 41
(2 2 0), d = 1.642 Å, 56.0°, intensity 31
(2 0 4), d = 1.620 Å, 56.8°, intensity 52
(2 2 4), d = 1.328 Å, 70.9°, intensity 25

Structure:
a = 4.645 Å, b = 4.645 Å, c = 9.038 Å
α = 90.00°, β = 90.00°, γ = 90.00°
Space group P4/mmm (No. 123)
Asymmetric unit:
Rb: 0.000 0.000 0.000 x1
Mg: 0.000 0.000 0.500 x1
Mg: 0.000 0.500 0.272 x4
Mg: 0.500 0.500 0.500 x1
Sb: 0.500 0.500 0.000 x1
O: 0.000 0.000 0.284 x2
O: 0.000 0.500 0.000 x2
O: 0.000 0.500 0.500 x2
O: 0.500 0.500 0.266 x2

---

2.
# Rb3MgSi2O6
Theoretical powder X-ray diffraction pattern, Cu Kα, 1.54184 Å. Input: a crystal structure in Alexandria, relaxed with PBE.
Intensities are scaled so that the largest is 100.

Main lines, in order of rising 2θ (10° ≤ 2θ ≤ 90°):
(1 0 1), d = 4.186 Å, 21.2°, intensity 51
(0 0 2), d = 3.755 Å, 23.7°, intensity 17
(1 0 2), d = 3.012 Å, 29.7°, intensity 100
(1 1 0), d = 2.911 Å, 30.7°, intensity 94
(0 2 1), d = 2.390 Å, 37.6°, intensity 47
(2 0 2), d = 2.093 Å, 43.2°, intensity 48
(2 1 2), d = 1.699 Å, 54.0°, intensity 32
(3 0 0), d = 1.681 Å, 54.6°, intensity 18
(1 1 4), d = 1.578 Å, 58.5°, intensity 25
(2 2 0), d = 1.455 Å, 64.0°, intensity 20

Structure:
a = 5.8218 Å, b = 5.8218 Å, c = 7.5100 Å
α = 90.00°, β = 90.00°, γ = 120.00°
Space group P-3m1 (No. 164)
Asymmetric unit:
Rb: 0.0000 0.0000 0.0000 x1
Rb: 0.3333 0.6667 0.7336 x2
Mg: 0.0000 0.0000 0.5000 x1
Si: 0.3333 0.6667 0.3050 x2
O: 0.1751 0.3503 0.3268 x6